Record 1
The following is a computed PXRD pattern of BaAlIr2O8. It was derived from the PBE geometry in Alexandria, using CuKα.

The 6 most intense peaks (10 to 90 degrees two-theta), by angle:
2θ (°)  I/Imax  index
22.8  100.0  1 0 1
30.8  45.7  0 1 2
34.0  40.8  1 1 0
41.3  21.1  0 2 1
50.2  17.7  1 1 3
54.5  20.2  2 1 1

abc: 5.2762 5.2762 7.5216
angles: 90.00 90.00 120.00
Space group P-3 (No. 147)
Unique sites:
Ba (0.0000, 0.0000, 0.0000) (multiplicity 1)
Al (0.0000, 0.0000, 0.5000) (multiplicity 1)
Ir (0.3333, 0.6667, 0.6890) (multiplicity 2)
O (0.0191, 0.2914, 0.6582) (multiplicity 6)
O (0.3333, 0.6667, 0.9367) (multiplicity 2)



Record 2
The following is a computed PXRD pattern of Rb2NbAgS4. It was derived from the PBE geometry in Alexandria, using CuKα.

The 6 most intense peaks (10 to 90 degrees two-theta), by angle:
2θ (°)  I/Imax  index
14.6  100.0  0 0 4
25.4  85.7  0 2 6
26.8  42.3  1 3 3
30.6  36.6  1 3 5
32.9  42.8  2 2 0
37.7  45.1  2 0 6

abc: 5.916 13.912 24.302
angles: 90.00 90.00 90.00
Space group Fddd (No. 70, origin choice 2)
Unique sites:
Rb (0.125, 0.125, 0.303) (multiplicity 16)
Nb (0.125, 0.125, 0.625) (multiplicity 8)
Ag (0.125, 0.125, 0.125) (multiplicity 8)
S (0.093, 0.276, 0.820) (multiplicity 32)